The following is a simulated X-ray diffraction stick pattern of La2TbEr3Bi6. It was derived from a GGA-PBE-relaxed structure, using CuKα.
Neutral-atom scattering factors, no anomalous dispersion.

Most intense lines, 2θ = 10–80°, sorted by position:
hkl 1 3 1, 27.77 deg, I 100; hkl 0 6 0, 39.63 deg, I 39; hkl 1 3 -3, 39.73 deg, I 39; hkl 2 6 -2, 49.08 deg, I 21; hkl 4 0 -4, 57.37 deg, I 13; hkl 5 3 -3, 64.83 deg, I 19; hkl 3 3 -5, 64.98 deg, I 18; hkl 6 0 -2, 71.95 deg, I 21

Cell and atoms:
```
data_La2TbEr3Bi6
_cell_length_a 7.878
_cell_length_b 13.647
_cell_length_c 7.854
_cell_angle_alpha 90.00
_cell_angle_beta 109.57
_cell_angle_gamma 90.00
_space_group_name_H-M_alt 'C 1 2/m 1'
_space_group_IT_number 12
loop_
_space_group_symop_operation_xyz
'x,y,z'
'-x,-y,-z'
'-x,y,-z'
'x,-y,z'
'x+1/2,y+1/2,z'
'-x+1/2,-y+1/2,-z'
'-x+1/2,y+1/2,-z'
'x+1/2,-y+1/2,z'
loop_
_atom_site_label
_atom_site_fract_x
_atom_site_fract_y
_atom_site_fract_z
La1 0.000 0.166 0.000
Tb1 0.000 0.500 0.000
Er1 0.000 0.000 0.500
Er2 0.000 0.330 0.500
Bi1 0.238 0.500 0.737
Bi2 0.250 0.163 0.740
```

=====

The following is a simulated X-ray diffraction stick pattern of LuCu4Au. It was derived from a GGA-PBE-relaxed structure, using CuKα.
Neutral-atom scattering factors, no anomalous dispersion.

Most intense lines, 2θ = 10–80°, sorted by position:
hkl 1 1 1, 21.75 deg, I 17; hkl 2 2 0, 35.89 deg, I 68; hkl 3 1 1, 42.36 deg, I 100; hkl 2 2 2, 44.34 deg, I 14; hkl 3 3 1, 56.69 deg, I 5; hkl 4 2 2, 64.50 deg, I 25; hkl 5 1 1, 68.94 deg, I 31; hkl 4 4 0, 76.07 deg, I 22

Cell and atoms:
```
data_LuCu4Au
_cell_length_a 7.077
_cell_length_b 7.077
_cell_length_c 7.077
_cell_angle_alpha 90.00
_cell_angle_beta 90.00
_cell_angle_gamma 90.00
_space_group_name_H-M_alt 'F -4 3 m'
_space_group_IT_number 216
_space_group_name_Hall 'F -4 2 3'
loop_
_atom_site_label
_atom_site_fract_x
_atom_site_fract_y
_atom_site_fract_z
Lu1 0.000 0.000 0.000
Cu1 0.125 0.125 0.375
Au1 0.250 0.250 0.750
```

=====

The following is a simulated X-ray diffraction stick pattern of KLiAlO. It was derived from a GGA-PBE-relaxed structure, using CuKα.
Neutral-atom scattering factors, no anomalous dispersion.

Most intense lines, 2θ = 10–80°, sorted by position:
hkl 0 1 1, 22.99 deg, I 100; hkl 0 0 4, 29.27 deg, I 37; hkl 0 1 3, 31.05 deg, I 42; hkl 1 0 3, 35.72 deg, I 87; hkl 1 1 2, 38.72 deg, I 15; hkl 0 2 0, 44.42 deg, I 20; hkl 1 1 4, 46.81 deg, I 38; hkl 1 2 3, 58.28 deg, I 31

Cell and atoms:
```
data_KLiAlO
_cell_length_a 3.195
_cell_length_b 4.079
_cell_length_c 12.207
_cell_angle_alpha 90.00
_cell_angle_beta 90.00
_cell_angle_gamma 90.00
_space_group_name_H-M_alt 'I m m 2'
_space_group_IT_number 44
loop_
_space_group_symop_operation_xyz
'x,y,z'
'-x,-y,z'
'-x,y,z'
'x,-y,z'
'x+1/2,y+1/2,z+1/2'
'-x+1/2,-y+1/2,z+1/2'
'-x+1/2,y+1/2,z+1/2'
'x+1/2,-y+1/2,z+1/2'
loop_
_atom_site_label
_atom_site_fract_x
_atom_site_fract_y
_atom_site_fract_z
K1 0.000 0.000 0.000
Li1 0.000 0.000 0.717
Al1 0.000 0.000 0.286
O1 0.000 0.500 0.697
```

=====

The following is a simulated X-ray diffraction stick pattern of Ce5Mg. It was derived from a GGA-PBE-relaxed structure, using CuKα.
Neutral-atom scattering factors, no anomalous dispersion.

Most intense lines, 2θ = 10–80°, sorted by position:
hkl 1 1 0, 16.73 deg, I 13; hkl 0 6 0, 31.18 deg, I 32; hkl 2 0 0, 32.14 deg, I 35; hkl 1 3 1, 35.78 deg, I 100; hkl 2 6 0, 45.38 deg, I 23; hkl 1 9 1, 58.51 deg, I 18; hkl 3 3 1, 59.68 deg, I 23; hkl 2 6 2, 75.82 deg, I 10

Cell and atoms:
```
data_Ce5Mg
_cell_length_a 5.571
_cell_length_b 17.214
_cell_length_c 3.224
_cell_angle_alpha 90.00
_cell_angle_beta 90.00
_cell_angle_gamma 90.00
_space_group_name_H-M_alt 'C m m m'
_space_group_IT_number 65
_space_group_name_Hall '-C 2 2'
loop_
_atom_site_label
_atom_site_fract_x
_atom_site_fract_y
_atom_site_fract_z
Ce1 0.000 0.000 0.000
Ce2 0.000 0.151 0.500
Ce3 0.000 0.328 0.000
Mg1 0.000 0.500 0.500
```